Computed powder diffractogram of TmPuPb2O8 for Cu Kα (λ = 1.5418 Å), from a DFT-relaxed cell (PBE, Alexandria).

Largest 10 diffraction maxima, in order of rising 2θ, 2θ from 10° to 90°:
| two_theta | intensity | index |
| --- | --- | --- |
| 24.45 | 1000 | 2 0 0 |
| 31.49 | 894 | 1 1 2 |
| 34.86 | 302 | 2 2 0 |
| 47.68 | 710 | 3 1 2 |
| 50.12 | 165 | 0 4 0 |
| 56.53 | 183 | 2 4 0 |
| 59.95 | 174 | 2 0 4 |
| 60.40 | 204 | 3 3 2 |
| 71.67 | 174 | 5 1 2 |
| 82.24 | 143 | 5 3 2 |

Structural model:
Lattice parameters (Å, degrees): 7.279 7.281 6.814 90.00 90.00 90.00
Space group Cmmm (No. 65)
One atom of each set of equivalent atoms:
Tm 0.000 0.000 0.000 x2
Pu 0.000 0.000 0.500 x2
Pb 0.000 0.500 0.249 x4
O 0.000 0.302 0.500 x4
O 0.000 0.305 0.000 x4
O 0.183 0.000 0.268 x8


Computed powder diffractogram of Pm2Y3Hg3 for Cu Kα (λ = 1.5418 Å), from a DFT-relaxed cell (PBE, Alexandria).

Largest 10 diffraction maxima, in order of rising 2θ, 2θ from 10° to 90°:
| two_theta | intensity | index |
| --- | --- | --- |
| 20.50 | 133 | 0 1 3 |
| 31.92 | 213 | 0 0 8 |
| 33.22 | 1000 | 1 1 4 |
| 33.72 | 262 | 0 2 0 |
| 47.11 | 145 | 0 2 8 |
| 48.27 | 96 | 2 0 0 |
| 57.71 | 99 | 1 1 12 |
| 60.00 | 184 | 1 3 4 |
| 60.17 | 99 | 2 2 0 |
| 69.75 | 90 | 2 2 8 |

Structural model:
Lattice parameters (Å, degrees): 3.771 5.316 22.432 90.00 90.00 90.00
Space group Immm (No. 71)
One atom of each set of equivalent atoms:
Pm 0.000 0.000 0.231 x4
Y 0.000 0.000 0.000 x2
Y 0.000 0.500 0.119 x4
Hg 0.000 0.000 0.500 x2
Hg 0.000 0.500 0.385 x4


Computed powder diffractogram of Pu4Ga12Ir for Cu Kα (λ = 1.5418 Å), from a DFT-relaxed cell (PBE, Alexandria).

Largest 10 diffraction maxima, in order of rising 2θ, 2θ from 10° to 90°:
| two_theta | intensity | index |
| --- | --- | --- |
| 20.56 | 219 | 2 0 0 |
| 29.24 | 781 | 2 2 0 |
| 36.01 | 1000 | 2 2 2 |
| 41.82 | 753 | 4 0 0 |
| 47.04 | 152 | 4 2 0 |
| 51.84 | 286 | 4 2 2 |
| 60.63 | 467 | 4 4 0 |
| 68.71 | 194 | 6 2 0 |
| 72.58 | 329 | 6 2 2 |
| 83.78 | 204 | 6 4 2 |

Structural model:
Lattice parameters (Å, degrees): 8.640 8.640 8.640 90.00 90.00 90.00
Space group Im-3m (No. 229)
One atom of each set of equivalent atoms:
Pu 0.250 0.250 0.250 x8
Ga 0.000 0.000 0.291 x12
Ga 0.000 0.250 0.500 x12
Ir 0.000 0.000 0.000 x2


Computed powder diffractogram of ZnCu6Sn for Cu Kα (λ = 1.5418 Å), from a DFT-relaxed cell (PBE, Alexandria).

Largest 10 diffraction maxima, in order of rising 2θ, 2θ from 10° to 90°:
| two_theta | intensity | index |
| --- | --- | --- |
| 28.22 | 54 | 1 0 2 |
| 38.65 | 252 | 0 2 2 |
| 41.96 | 261 | 2 0 0 |
| 44.20 | 1000 | 1 0 4 |
| 58.36 | 143 | 2 2 2 |
| 69.90 | 103 | 0 2 6 |
| 78.22 | 170 | 3 0 4 |
| 84.99 | 120 | 2 2 6 |
| 85.12 | 60 | 2 4 0 |
| 86.63 | 86 | 1 4 4 |

Structural model:
Lattice parameters (Å, degrees): 4.307 5.374 9.329 90.00 90.00 90.00
Space group Amm2 (No. 38)
One atom of each set of equivalent atoms:
Zn 0.000 0.000 0.000 x2
Cu 0.000 0.000 0.491 x2
Cu 0.000 0.236 0.255 x4
Cu 0.500 0.000 0.167 x2
Cu 0.500 0.249 0.416 x4
Sn 0.500 0.000 0.666 x2


Computed powder diffractogram of CrNiH for Cu Kα (λ = 1.5418 Å), from a DFT-relaxed cell (PBE, Alexandria).

Largest 10 diffraction maxima, in order of rising 2θ, 2θ from 10° to 90°:
| two_theta | intensity | index |
| --- | --- | --- |
| 42.10 | 1000 | 0 1 2 |
| 43.46 | 847 | 1 1 0 |
| 47.79 | 353 | 1 0 -2 |
| 50.12 | 305 | 0 2 0 |
| 51.49 | 233 | 1 0 2 |
| 71.75 | 181 | 1 2 -2 |
| 74.73 | 203 | 1 2 2 |
| 84.16 | 114 | 1 1 -4 |
| 88.60 | 100 | 0 3 2 |
| 89.52 | 91 | 1 3 0 |

Structural model:
Lattice parameters (Å, degrees): 2.545 3.640 5.327 90.00 94.01 90.00
Space group P2_1/m (No. 11)
One atom of each set of equivalent atoms:
Cr 0.182 0.250 0.111 x2
Ni 0.265 0.250 0.632 x2
H 0.270 0.750 0.612 x2


Computed powder diffractogram of TbPm6Tm for Cu Kα (λ = 1.5418 Å), from a DFT-relaxed cell (PBE, Alexandria).

Largest 10 diffraction maxima, in order of rising 2θ, 2θ from 10° to 90°:
| two_theta | intensity | index |
| --- | --- | --- |
| 30.25 | 1000 | 2 2 0 |
| 34.97 | 340 | 2 0 4 |
| 35.25 | 167 | 0 4 0 |
| 50.48 | 301 | 2 4 4 |
| 59.75 | 145 | 4 2 4 |
| 59.90 | 144 | 2 2 8 |
| 60.19 | 142 | 2 6 0 |
| 62.81 | 62 | 4 4 0 |
| 82.10 | 88 | 4 6 4 |
| 84.59 | 83 | 4 4 8 |

Structural model:
Lattice parameters (Å, degrees): 7.272 10.184 14.483 90.00 90.00 90.00
Space group Fmmm (No. 69)
One atom of each set of equivalent atoms:
Tb 0.000 0.000 0.000 x4
Pm 0.000 0.000 0.250 x8
Pm 0.250 0.250 0.124 x16
Tm 0.000 0.000 0.500 x4


Computed powder diffractogram of LiNb2P3O12 for Cu Kα (λ = 1.5418 Å), from a DFT-relaxed cell (PBE, Alexandria).

Largest 10 diffraction maxima, in order of rising 2θ, 2θ from 10° to 90°:
| two_theta | intensity | index |
| --- | --- | --- |
| 13.87 | 792 | 0 1 -1 |
| 19.38 | 1000 | 0 1 1 |
| 19.50 | 668 | 1 0 -2 |
| 19.95 | 292 | 1 1 -1 |
| 20.24 | 857 | 1 -2 0 |
| 23.27 | 610 | 1 1 -2 |
| 27.95 | 795 | 0 2 -2 |
| 28.48 | 346 | -2 2 2 |
| 30.89 | 413 | 1 1 1 |
| 31.00 | 320 | 1 1 -3 |

Structural model:
Lattice parameters (Å, degrees): 8.762 8.789 9.118 90.95 118.28 119.04
Space group P-1 (No. 2)
One atom of each set of equivalent atoms:
Li 0.147 0.192 0.393 x2
Nb 0.288 0.643 0.432 x2
Nb 0.298 0.140 0.934 x2
P 0.211 0.743 0.755 x2
P 0.220 0.975 0.253 x2
P 0.488 0.457 0.742 x2
O 0.011 0.935 0.220 x2
O 0.026 0.555 0.722 x2
O 0.154 0.886 0.748 x2
O 0.227 0.995 0.088 x2
O 0.252 0.823 0.305 x2
O 0.256 0.734 0.611 x2
O 0.326 0.452 0.562 x2
O 0.346 0.547 0.273 x2
O 0.359 0.278 0.772 x2
O 0.385 0.163 0.405 x2
O 0.403 0.374 0.106 x2
O 0.407 0.803 0.937 x2


Computed powder diffractogram of Tb5Sm2Dy2 for Cu Kα (λ = 1.5418 Å), from a DFT-relaxed cell (PBE, Alexandria).

Largest 10 diffraction maxima, in order of rising 2θ, 2θ from 10° to 90°:
| two_theta | intensity | index |
| --- | --- | --- |
| 25.66 | 287 | 6 0 -1 |
| 27.79 | 300 | 1 1 -1 |
| 28.35 | 265 | 1 1 1 |
| 29.78 | 1000 | 4 0 2 |
| 32.80 | 445 | 2 0 -3 |
| 33.64 | 453 | 8 0 -1 |
| 34.59 | 231 | 4 0 -3 |
| 34.82 | 471 | 3 1 -2 |
| 36.09 | 616 | 5 1 1 |
| 42.73 | 228 | 7 1 -2 |

Structural model:
Lattice parameters (Å, degrees): 21.606 3.502 8.224 90.00 99.59 90.00
Space group C2/m (No. 12)
One atom of each set of equivalent atoms:
Tb 0.000 0.000 0.000 x2
Tb 0.097 0.000 0.738 x4
Tb 0.190 0.500 0.529 x4
Sm 0.182 0.000 0.149 x4
Dy 0.047 0.500 0.355 x4


Computed powder diffractogram of CePaB12 for Cu Kα (λ = 1.5418 Å), from a DFT-relaxed cell (PBE, Alexandria).

Largest 10 diffraction maxima, in order of rising 2θ, 2θ from 10° to 90°:
| two_theta | intensity | index |
| --- | --- | --- |
| 21.73 | 749 | 1 0 0 |
| 30.92 | 1000 | 1 1 0 |
| 38.11 | 420 | 1 1 2 |
| 44.29 | 212 | 2 0 0 |
| 49.86 | 513 | 2 1 0 |
| 54.99 | 304 | 2 1 2 |
| 68.87 | 280 | 2 2 2 |
| 73.18 | 200 | 3 1 0 |
| 77.39 | 137 | 3 1 2 |
| 89.70 | 196 | 3 2 2 |

Structural model:
Lattice parameters (Å, degrees): 4.089 4.089 8.184 90.00 90.00 90.00
Space group P4/mmm (No. 123)
One atom of each set of equivalent atoms:
Ce 0.000 0.000 0.000 x1
Pa 0.000 0.000 0.500 x1
B 0.198 0.500 0.252 x8
B 0.500 0.500 0.100 x2
B 0.500 0.500 0.402 x2


Computed powder diffractogram of TbYMg2Au4 for Cu Kα (λ = 1.5418 Å), from a DFT-relaxed cell (PBE, Alexandria).

Largest 10 diffraction maxima, in order of rising 2θ, 2θ from 10° to 90°:
| two_theta | intensity | index |
| --- | --- | --- |
| 25.62 | 489 | 1 0 4 |
| 36.43 | 1000 | 1 1 0 |
| 36.68 | 981 | 0 1 8 |
| 45.07 | 115 | 0 2 4 |
| 52.66 | 350 | 2 0 8 |
| 65.56 | 182 | 3 0 0 |
| 65.72 | 360 | 1 2 8 |
| 66.20 | 176 | 1 0 16 |
| 88.83 | 169 | 3 1 8 |
| 89.27 | 167 | 2 1 16 |

Structural model:
Lattice parameters (Å, degrees): 4.9326 4.9326 23.9302 90.00 90.00 120.00
Space group R-3m (No. 166, hexagonal axes)
One atom of each set of equivalent atoms:
Tb 0.0000 0.0000 0.0000 x3
Y 0.0000 0.0000 0.5000 x3
Mg 0.0000 0.0000 0.2498 x6
Au 0.0000 0.0000 0.1258 x6
Au 0.0000 0.0000 0.3741 x6


Computed powder diffractogram of Er2Be3Au9 for Cu Kα (λ = 1.5418 Å), from a DFT-relaxed cell (PBE, Alexandria).

Largest 10 diffraction maxima, in order of rising 2θ, 2θ from 10° to 90°:
| two_theta | intensity | index |
| --- | --- | --- |
| 30.03 | 512 | 3 1 -3 |
| 35.40 | 196 | 1 3 0 |
| 37.21 | 1000 | 3 1 2 |
| 37.27 | 438 | 3 1 -4 |
| 38.96 | 189 | 0 0 4 |
| 40.05 | 293 | 6 0 -2 |
| 40.16 | 582 | 3 3 -1 |
| 55.94 | 179 | 6 2 -5 |
| 70.98 | 192 | 6 4 1 |
| 71.10 | 251 | 3 5 -4 |

Structural model:
Lattice parameters (Å, degrees): 13.507 7.771 10.264 90.00 115.84 90.00
Space group C2/c (No. 15)
One atom of each set of equivalent atoms:
Er 0.170 0.083 0.249 x8
Be 0.091 0.228 0.498 x8
Be 0.250 0.250 0.000 x4
Au 0.000 0.341 0.250 x4
Au 0.060 0.072 0.925 x8
Au 0.106 0.406 0.059 x8
Au 0.115 0.303 0.742 x8
Au 0.227 0.416 0.431 x8


Computed powder diffractogram of BaAcC3N6 for Cu Kα (λ = 1.5418 Å), from a DFT-relaxed cell (PBE, Alexandria).

Largest 10 diffraction maxima, in order of rising 2θ, 2θ from 10° to 90°:
| two_theta | intensity | index |
| --- | --- | --- |
| 14.90 | 146 | 1 0 1 |
| 16.76 | 1000 | 1 1 0 |
| 24.76 | 270 | 0 1 2 |
| 29.24 | 196 | 3 0 0 |
| 30.05 | 343 | 2 0 2 |
| 33.89 | 209 | 2 2 0 |
| 34.60 | 366 | 1 2 2 |
| 42.42 | 231 | 3 1 2 |
| 45.36 | 154 | 4 1 0 |
| 49.21 | 105 | 2 3 2 |

Structural model:
Lattice parameters (Å, degrees): 10.5807 10.5807 7.8179 90.00 90.00 120.00
Space group R32 (No. 155, hexagonal axes)
One atom of each set of equivalent atoms:
Ba 0.0000 0.0000 0.0000 x3
Ac 0.0000 0.0000 0.5000 x3
C 0.0000 0.5053 0.0000 x9
N 0.0989 0.8909 0.2748 x18


Computed powder diffractogram of AcCd2Pd2 for Cu Kα (λ = 1.5418 Å), from a DFT-relaxed cell (PBE, Alexandria).

Largest 10 diffraction maxima, in order of rising 2θ, 2θ from 10° to 90°:
| two_theta | intensity | index |
| --- | --- | --- |
| 25.06 | 209 | 1 0 1 |
| 32.89 | 1000 | 1 1 1 |
| 34.72 | 568 | 1 0 2 |
| 42.66 | 424 | 2 0 0 |
| 47.00 | 200 | 1 0 3 |
| 56.13 | 288 | 2 1 2 |
| 61.92 | 138 | 2 2 0 |
| 65.33 | 150 | 2 1 3 |
| 71.92 | 204 | 3 1 1 |
| 80.33 | 128 | 1 1 5 |

Structural model:
Lattice parameters (Å, degrees): 4.239 4.239 6.517 90.00 90.00 90.00
Space group P4/mmm (No. 123)
One atom of each set of equivalent atoms:
Ac 0.000 0.000 0.000 x1
Cd 0.000 0.500 0.500 x2
Pd 0.500 0.500 0.209 x2